[1]
Diffraction record for Pm2TlHPd6. The X-ray powder pattern is calculated, not measured: it uses a DFT-relaxed cell (GGA-PBE, Alexandria) and a wavelength of 1.5418 Å.
Kinematic intensities with the Lorentz-polarization factor, no thermal factor.

```
Pm2TlHPd6
1.0
5.010 -2.884 0.000
5.010 2.884 0.000
-3.397 0.000 6.522
Pm Tl H Pd
2 1 1 6
Cartesian
1.626 0.000 1.438
4.997 0.000 5.085
5.010 0.000 0.000
-1.698 0.000 3.261
-0.004 0.000 4.338
2.513 1.456 4.415
4.109 1.456 2.108
2.513 -1.456 4.415
4.109 -1.456 2.108
6.627 0.000 2.185
```

Main lines, by intensity (10° ≤ 2θ ≤ 90°):
2.230 Å, I = 100; 2.434 Å, I = 69; 2.419 Å, I = 67; 2.222 Å, I = 55; 2.636 Å, I = 40; 3.489 Å, I = 35; 1.445 Å, I = 35; 3.261 Å, I = 29; 2.102 Å, I = 25; 2.888 Å, I = 25

[2]
Diffraction record for PaCuAsN. The X-ray powder pattern is calculated, not measured: it uses a DFT-relaxed cell (GGA-PBE, Alexandria) and a wavelength of 1.5418 Å.
Kinematic intensities with the Lorentz-polarization factor, no thermal factor.

```
PaCuAsN
1.0
3.890 0.000 0.000
0.000 3.890 0.000
0.000 0.000 8.350
Pa Cu As N
2 2 2 2
Cartesian
0.972 0.972 1.217
2.917 2.917 7.134
0.972 2.917 4.175
2.917 0.972 4.175
0.972 0.972 5.710
2.917 2.917 2.640
0.972 2.917 0.000
2.917 0.972 0.000
```

Main lines, by intensity (10° ≤ 2θ ≤ 90°):
2.846 Å, I = 100; 1.606 Å, I = 37; 1.945 Å, I = 33; 2.751 Å, I = 29; 2.612 Å, I = 28; 2.297 Å, I = 27; 3.526 Å, I = 26; 1.663 Å, I = 22; 1.839 Å, I = 13; 2.783 Å, I = 11

[3]
Diffraction record for ZrS2O8. The X-ray powder pattern is calculated, not measured: it uses a DFT-relaxed cell (GGA-PBE, Alexandria) and a wavelength of 1.5418 Å.
Kinematic intensities with the Lorentz-polarization factor, no thermal factor.

```
ZrS2O8
1.0
8.751 0.000 0.000
0.000 5.545 0.000
0.000 0.000 11.163
Zr S O
4 8 32
Cartesian
2.141 1.386 1.115
2.235 4.158 6.697
6.517 1.386 4.466
6.610 4.158 10.048
0.037 4.158 1.719
1.271 1.386 4.530
3.104 4.158 10.112
4.339 1.386 7.300
4.413 4.158 3.863
5.647 1.386 1.051
7.480 4.158 6.633
8.714 1.386 9.444
0.126 4.158 7.162
0.615 1.386 10.782
0.878 1.386 8.343
0.945 2.967 1.766
0.945 5.350 1.766
1.460 0.172 5.355
1.460 2.600 5.355
2.138 4.158 8.993
2.238 1.386 3.412
2.916 2.945 10.937
2.916 5.372 10.937
3.431 0.194 7.348
3.431 2.578 7.348
3.497 4.158 2.761
3.761 4.158 5.201
4.250 1.386 1.580
4.501 4.158 9.583
4.990 1.386 5.962
5.254 1.386 8.402
5.320 2.967 3.815
5.320 5.350 3.815
5.835 0.172 0.226
5.835 2.600 0.226
6.513 4.158 7.751
6.614 1.386 2.170
7.292 2.945 5.808
7.292 5.372 5.808
7.807 0.194 9.397
7.807 2.578 9.397
7.873 4.158 2.820
8.137 4.158 0.381
8.626 1.386 4.001
```

Main lines, by intensity (10° ≤ 2θ ≤ 90°):
3.283 Å, I = 100; 3.588 Å, I = 78; 3.090 Å, I = 62; 4.706 Å, I = 49; 2.772 Å, I = 43; 4.319 Å, I = 41; 2.524 Å, I = 40; 3.438 Å, I = 36; 2.016 Å, I = 35; 4.966 Å, I = 33

Which formula does entry 3 have?
ZrS2O8